This entry pairs a crystal structure of Y2Ho2CI4Cl with its computed powder X-ray diffraction pattern. Radiation: Cu Kα (λ = 1.5418 Å). Structure: DFT lattice parameters and positions (PBE).
Intensities are scaled so that the largest is 100.

Peak list (10 most intense, 2θ = 10–90°, by intensity)
two_theta	I_rel	(hkl)
31.68	100	1 1 -2
11.03	44	0 0 1
28.40	38	6 0 0
33.04	28	5 1 0
18.83	24	4 0 0
42.93	21	5 1 2
43.19	19	7 1 -2
30.27	19	3 1 1
46.57	18	0 2 0
44.22	17	2 0 -4

Structure:
```
data_Y2Ho2CI4Cl
_chemical_formula_sum 'Y4 Ho4 C2 I8 Cl2'
_cell_length_a 19.258
_cell_length_b 3.900
_cell_length_c 8.193
_cell_angle_alpha 90.00
_cell_angle_beta 101.80
_cell_angle_gamma 90.00
_symmetry_space_group_name_H-M 'C 1 2/m 1'
_symmetry_Int_Tables_number 12
loop_
_symmetry_equiv_pos_as_xyz
'x,y,z'
'-x,-y,-z'
'-x,y,-z'
'x,-y,z'
'x+1/2,y+1/2,z'
'-x+1/2,-y+1/2,-z'
'-x+1/2,y+1/2,-z'
'x+1/2,-y+1/2,z'
loop_
_atom_site_label
_atom_site_type_symbol
_atom_site_fract_x
_atom_site_fract_y
_atom_site_fract_z
Y1 Y 0.001 0.000 0.297
Ho1 Ho 0.126 0.500 0.563
C1 C 0.000 0.500 0.500
I1 I 0.162 0.000 0.850
I2 I 0.166 0.000 0.314
Cl1 Cl 0.000 0.500 0.000
```

This entry pairs a crystal structure of Y2Ho2CI4Cl with its computed powder X-ray diffraction pattern. Radiation: Cu Kα (λ = 1.5418 Å). Structure: DFT lattice parameters and positions (PBE).
Intensities are scaled so that the largest is 100.

Peak list (10 most intense, 2θ = 10–90°, by intensity)
two_theta	I_rel	(hkl)
31.68	100	1 1 -2
28.58	55	6 0 0
23.35	38	1 1 0
33.19	34	5 1 0
43.06	30	5 1 2
22.16	29	0 0 2
43.31	28	7 1 -2
11.01	22	0 0 1
46.69	19	0 2 0
55.66	16	6 2 0

Structure:
```
data_Y2Ho2CI4Cl
_chemical_formula_sum 'Y4 Ho4 C2 I8 Cl2'
_cell_length_a 19.153
_cell_length_b 3.891
_cell_length_c 8.212
_cell_angle_alpha 90.00
_cell_angle_beta 101.91
_cell_angle_gamma 90.00
_symmetry_space_group_name_H-M 'C 1 2/m 1'
_symmetry_Int_Tables_number 12
loop_
_symmetry_equiv_pos_as_xyz
'x,y,z'
'-x,-y,-z'
'-x,y,-z'
'x,-y,z'
'x+1/2,y+1/2,z'
'-x+1/2,-y+1/2,-z'
'-x+1/2,y+1/2,-z'
'x+1/2,-y+1/2,z'
loop_
_atom_site_label
_atom_site_type_symbol
_atom_site_fract_x
_atom_site_fract_y
_atom_site_fract_z
Y1 Y 0.128 0.000 0.064
Ho1 Ho 0.001 0.500 0.799
C1 C 0.000 0.000 0.000
I1 I 0.161 0.500 0.352
I2 I 0.166 0.500 0.811
Cl1 Cl 0.000 0.000 0.500
```

This entry pairs a crystal structure of Ho2Sc2CCl5 with its computed powder X-ray diffraction pattern. Radiation: Cu Kα (λ = 1.5418 Å). Structure: DFT lattice parameters and positions (PBE).
Intensities are scaled so that the largest is 100.

Peak list (10 most intense, 2θ = 10–90°, by intensity)
two_theta	I_rel	(hkl)
11.02	100	2 0 0
33.93	59	1 1 -2
25.30	33	1 1 0
33.48	30	6 0 0
11.71	29	0 0 1
23.59	29	2 0 -2
37.51	26	5 1 0
48.28	18	5 1 2
48.54	17	7 1 -2
22.14	13	4 0 0

Structure:
```
data_Ho2Sc2CCl5
_chemical_formula_sum 'Ho4 Sc4 C2 Cl10'
_cell_length_a 16.493
_cell_length_b 3.608
_cell_length_c 7.761
_cell_angle_alpha 90.00
_cell_angle_beta 103.19
_cell_angle_gamma 90.00
_symmetry_space_group_name_H-M 'C 1 2/m 1'
_symmetry_Int_Tables_number 12
loop_
_symmetry_equiv_pos_as_xyz
'x,y,z'
'-x,-y,-z'
'-x,y,-z'
'x,-y,z'
'x+1/2,y+1/2,z'
'-x+1/2,-y+1/2,-z'
'-x+1/2,y+1/2,-z'
'x+1/2,-y+1/2,z'
loop_
_atom_site_label
_atom_site_type_symbol
_atom_site_fract_x
_atom_site_fract_y
_atom_site_fract_z
Ho1 Ho 0.001 0.000 0.290
Sc1 Sc 0.139 0.500 0.574
C1 C 0.000 0.500 0.500
Cl1 Cl 0.000 0.500 0.000
Cl2 Cl 0.167 0.000 0.818
Cl3 Cl 0.173 0.000 0.355
```

This entry pairs a crystal structure of Y2Ho2CCl5 with its computed powder X-ray diffraction pattern. Radiation: Cu Kα (λ = 1.5418 Å). Structure: DFT lattice parameters and positions (PBE).
Intensities are scaled so that the largest is 100.

Peak list (10 most intense, 2θ = 10–90°, by intensity)
two_theta	I_rel	(hkl)
10.74	100	2 0 0
33.45	96	1 1 -2
11.75	61	0 0 1
32.62	49	6 0 0
47.59	29	5 1 2
29.07	28	3 1 0
47.24	28	7 1 -2
24.62	28	1 1 0
36.49	25	5 1 0
60.24	21	6 2 0

Structure:
```
data_Y2Ho2CCl5
_chemical_formula_sum 'Y4 Ho4 C2 Cl10'
_cell_length_a 16.961
_cell_length_b 3.707
_cell_length_c 7.753
_cell_angle_alpha 90.00
_cell_angle_beta 103.80
_cell_angle_gamma 90.00
_symmetry_space_group_name_H-M 'C 1 2/m 1'
_symmetry_Int_Tables_number 12
loop_
_symmetry_equiv_pos_as_xyz
'x,y,z'
'-x,-y,-z'
'-x,y,-z'
'x,-y,z'
'x+1/2,y+1/2,z'
'-x+1/2,-y+1/2,-z'
'-x+1/2,y+1/2,-z'
'x+1/2,-y+1/2,z'
loop_
_atom_site_label
_atom_site_type_symbol
_atom_site_fract_x
_atom_site_fract_y
_atom_site_fract_z
Y1 Y 0.145 0.000 0.082
Ho1 Ho 0.001 0.500 0.790
C1 C 0.000 0.000 0.000
Cl1 Cl 0.000 0.000 0.500
Cl2 Cl 0.163 0.500 0.343
Cl3 Cl 0.170 0.500 0.835
```

This entry pairs a crystal structure of Y2Ho2CCl5 with its computed powder X-ray diffraction pattern. Radiation: Cu Kα (λ = 1.5418 Å). Structure: DFT lattice parameters and positions (PBE).
Intensities are scaled so that the largest is 100.

Peak list (10 most intense, 2θ = 10–90°, by intensity)
two_theta	I_rel	(hkl)
11.71	100	0 0 1
33.33	83	1 1 -2
32.52	33	6 0 0
32.77	29	3 1 1
21.98	24	4 0 -1
42.61	23	6 0 -3
47.34	22	5 1 2
28.95	21	3 1 0
47.16	19	7 1 -2
17.66	18	2 0 1

Structure:
```
data_Y2Ho2CCl5
_chemical_formula_sum 'Y4 Ho4 C2 Cl10'
_cell_length_a 16.993
_cell_length_b 3.723
_cell_length_c 7.774
_cell_angle_alpha 90.00
_cell_angle_beta 103.53
_cell_angle_gamma 90.00
_symmetry_space_group_name_H-M 'C 1 2/m 1'
_symmetry_Int_Tables_number 12
loop_
_symmetry_equiv_pos_as_xyz
'x,y,z'
'-x,-y,-z'
'-x,y,-z'
'x,-y,z'
'x+1/2,y+1/2,z'
'-x+1/2,-y+1/2,-z'
'-x+1/2,y+1/2,-z'
'x+1/2,-y+1/2,z'
loop_
_atom_site_label
_atom_site_type_symbol
_atom_site_fract_x
_atom_site_fract_y
_atom_site_fract_z
Y1 Y 0.001 0.000 0.289
Ho1 Ho 0.144 0.500 0.580
C1 C 0.000 0.500 0.500
Cl1 Cl 0.000 0.500 0.000
Cl2 Cl 0.165 0.000 0.838
Cl3 Cl 0.172 0.000 0.342
```

This entry pairs a crystal structure of La2Pr2CICl4 with its computed powder X-ray diffraction pattern. Radiation: Cu Kα (λ = 1.5418 Å). Structure: DFT lattice parameters and positions (PBE).
Intensities are scaled so that the largest is 100.

Peak list (10 most intense, 2θ = 10–90°, by intensity)
two_theta	I_rel	(hkl)
29.97	100	1 1 -2
10.19	72	2 0 0
10.33	55	0 0 1
30.90	46	6 0 0
30.38	36	3 1 1
27.43	29	3 1 -1
43.78	29	5 1 2
43.39	28	7 1 -2
20.41	23	4 0 -1
16.32	19	2 0 1

Structure:
```
data_La2Pr2CICl4
_chemical_formula_sum 'La4 Pr4 C2 I2 Cl8'
_cell_length_a 17.974
_cell_length_b 4.031
_cell_length_c 8.863
_cell_angle_alpha 90.00
_cell_angle_beta 105.01
_cell_angle_gamma 90.00
_symmetry_space_group_name_H-M 'C 1 2/m 1'
_symmetry_Int_Tables_number 12
loop_
_symmetry_equiv_pos_as_xyz
'x,y,z'
'-x,-y,-z'
'-x,y,-z'
'x,-y,z'
'x+1/2,y+1/2,z'
'-x+1/2,-y+1/2,-z'
'-x+1/2,y+1/2,-z'
'x+1/2,-y+1/2,z'
loop_
_atom_site_label
_atom_site_type_symbol
_atom_site_fract_x
_atom_site_fract_y
_atom_site_fract_z
La1 La 0.148 0.000 0.081
Pr1 Pr 0.001 0.500 0.804
C1 C 0.000 0.000 0.000
I1 I 0.000 0.000 0.500
Cl1 Cl 0.164 0.500 0.317
Cl2 Cl 0.169 0.500 0.854
```

This entry pairs a crystal structure of La2Sm2CI3Cl2 with its computed powder X-ray diffraction pattern. Radiation: Cu Kα (λ = 1.5418 Å). Structure: DFT lattice parameters and positions (PBE).
Intensities are scaled so that the largest is 100.

Peak list (10 most intense, 2θ = 10–90°, by intensity)
two_theta	I_rel	(hkl)
29.70	100	1 1 -2
10.03	80	0 0 1
28.81	38	6 0 0
32.89	38	5 1 -1
42.66	28	7 1 -2
41.04	23	5 1 2
23.21	20	4 0 1
32.65	19	5 1 0
44.63	19	0 2 0
40.29	16	2 0 -4

Structure:
```
data_La2Sm2CI3Cl2
_chemical_formula_sum 'La4 Sm4 C2 I6 Cl4'
_cell_length_a 18.913
_cell_length_b 4.061
_cell_length_c 8.968
_cell_angle_alpha 90.00
_cell_angle_beta 100.54
_cell_angle_gamma 90.00
_symmetry_space_group_name_H-M 'C 1 2/m 1'
_symmetry_Int_Tables_number 12
loop_
_symmetry_equiv_pos_as_xyz
'x,y,z'
'-x,-y,-z'
'-x,y,-z'
'x,-y,z'
'x+1/2,y+1/2,z'
'-x+1/2,-y+1/2,-z'
'-x+1/2,y+1/2,-z'
'x+1/2,-y+1/2,z'
loop_
_atom_site_label
_atom_site_type_symbol
_atom_site_fract_x
_atom_site_fract_y
_atom_site_fract_z
La1 La 0.002 0.000 0.303
Sm1 Sm 0.134 0.500 0.563
C1 C 0.000 0.500 0.500
I1 I 0.000 0.500 0.000
I2 I 0.177 0.000 0.323
Cl1 Cl 0.154 0.000 0.783
```

This entry pairs a crystal structure of Pr2Nd2CI4Cl with its computed powder X-ray diffraction pattern. Radiation: Cu Kα (λ = 1.5418 Å). Structure: DFT lattice parameters and positions (PBE).
Intensities are scaled so that the largest is 100.

Peak list (10 most intense, 2θ = 10–90°, by intensity)
two_theta	I_rel	(hkl)
30.49	100	1 1 -2
28.14	48	6 0 0
32.33	30	5 1 0
10.61	29	0 0 1
41.86	29	5 1 2
42.09	26	7 1 -2
44.90	19	0 2 0
29.44	18	3 1 1
22.51	18	1 1 0
31.63	16	6 0 -2

Structure:
```
data_Pr2Nd2CI4Cl
_chemical_formula_sum 'Pr4 Nd4 C2 I8 Cl2'
_cell_length_a 19.466
_cell_length_b 4.037
_cell_length_c 8.528
_cell_angle_alpha 90.00
_cell_angle_beta 102.21
_cell_angle_gamma 90.00
_symmetry_space_group_name_H-M 'C 1 2/m 1'
_symmetry_Int_Tables_number 12
loop_
_symmetry_equiv_pos_as_xyz
'x,y,z'
'-x,-y,-z'
'-x,y,-z'
'x,-y,z'
'x+1/2,y+1/2,z'
'-x+1/2,-y+1/2,-z'
'-x+1/2,y+1/2,-z'
'x+1/2,-y+1/2,z'
loop_
_atom_site_label
_atom_site_type_symbol
_atom_site_fract_x
_atom_site_fract_y
_atom_site_fract_z
Pr1 Pr 0.134 0.000 0.068
Nd1 Nd 0.001 0.500 0.792
C1 C 0.000 0.000 0.000
I1 I 0.163 0.500 0.358
I2 I 0.170 0.500 0.808
Cl1 Cl 0.000 0.000 0.500
```

This entry pairs a crystal structure of Pr2Nd2CICl4 with its computed powder X-ray diffraction pattern. Radiation: Cu Kα (λ = 1.5418 Å). Structure: DFT lattice parameters and positions (PBE).
Intensities are scaled so that the largest is 100.

Peak list (10 most intense, 2θ = 10–90°, by intensity)
two_theta	I_rel	(hkl)
10.26	100	2 0 0
30.09	73	1 1 -2
31.11	37	6 0 0
30.47	26	3 1 1
43.91	20	7 1 -2
27.72	20	3 1 -1
43.72	19	5 1 2
20.65	18	4 0 -1
35.25	17	2 0 3
16.21	15	2 0 1

Structure:
```
data_Pr2Nd2CICl4
_chemical_formula_sum 'Pr4 Nd4 C2 I2 Cl8'
_cell_length_a 17.791
_cell_length_b 3.995
_cell_length_c 8.883
_cell_angle_alpha 90.00
_cell_angle_beta 104.11
_cell_angle_gamma 90.00
_symmetry_space_group_name_H-M 'C 1 2/m 1'
_symmetry_Int_Tables_number 12
loop_
_symmetry_equiv_pos_as_xyz
'x,y,z'
'-x,-y,-z'
'-x,y,-z'
'x,-y,z'
'x+1/2,y+1/2,z'
'-x+1/2,-y+1/2,-z'
'-x+1/2,y+1/2,-z'
'x+1/2,-y+1/2,z'
loop_
_atom_site_label
_atom_site_type_symbol
_atom_site_fract_x
_atom_site_fract_y
_atom_site_fract_z
Pr1 Pr 0.002 0.000 0.304
Nd1 Nd 0.145 0.500 0.577
C1 C 0.000 0.500 0.500
I1 I 0.000 0.500 0.000
Cl1 Cl 0.165 0.000 0.807
Cl2 Cl 0.172 0.000 0.363
```

This entry pairs a crystal structure of Pr2Nd2CICl4 with its computed powder X-ray diffraction pattern. Radiation: Cu Kα (λ = 1.5418 Å). Structure: DFT lattice parameters and positions (PBE).
Intensities are scaled so that the largest is 100.

Peak list (10 most intense, 2θ = 10–90°, by intensity)
two_theta	I_rel	(hkl)
30.25	100	1 1 -2
10.27	73	2 0 0
10.38	60	0 0 1
31.14	45	6 0 0
30.62	36	3 1 1
27.74	28	3 1 -1
44.05	28	5 1 2
43.88	28	7 1 -2
20.62	23	4 0 -1
16.37	20	2 0 1

Structure:
```
data_Pr2Nd2CICl4
_chemical_formula_sum 'Pr4 Nd4 C2 I2 Cl8'
_cell_length_a 17.810
_cell_length_b 3.987
_cell_length_c 8.803
_cell_angle_alpha 90.00
_cell_angle_beta 104.62
_cell_angle_gamma 90.00
_symmetry_space_group_name_H-M 'C 1 2/m 1'
_symmetry_Int_Tables_number 12
loop_
_symmetry_equiv_pos_as_xyz
'x,y,z'
'-x,-y,-z'
'-x,y,-z'
'x,-y,z'
'x+1/2,y+1/2,z'
'-x+1/2,-y+1/2,-z'
'-x+1/2,y+1/2,-z'
'x+1/2,-y+1/2,z'
loop_
_atom_site_label
_atom_site_type_symbol
_atom_site_fract_x
_atom_site_fract_y
_atom_site_fract_z
Pr1 Pr 0.147 0.000 0.080
Nd1 Nd 0.001 0.500 0.804
C1 C 0.000 0.000 0.000
I1 I 0.000 0.000 0.500
Cl1 Cl 0.164 0.500 0.315
Cl2 Cl 0.170 0.500 0.856
```

This entry pairs a crystal structure of Nd2Sc2CI3Cl2 with its computed powder X-ray diffraction pattern. Radiation: Cu Kα (λ = 1.5418 Å). Structure: DFT lattice parameters and positions (PBE).
Intensities are scaled so that the largest is 100.

Peak list (10 most intense, 2θ = 10–90°, by intensity)
two_theta	I_rel	(hkl)
30.72	100	1 1 -2
27.47	58	6 0 0
12.22	31	2 0 -1
39.11	30	4 0 3
30.32	28	2 0 -3
41.28	28	5 1 2
42.06	26	7 1 -2
25.32	24	1 1 -1
23.54	23	1 1 0
32.67	23	5 1 0

Structure:
```
data_Nd2Sc2CI3Cl2
_chemical_formula_sum 'Nd4 Sc4 C2 I6 Cl4'
_cell_length_a 19.872
_cell_length_b 3.853
_cell_length_c 8.890
_cell_angle_alpha 90.00
_cell_angle_beta 101.34
_cell_angle_gamma 90.00
_symmetry_space_group_name_H-M 'C 1 2/m 1'
_symmetry_Int_Tables_number 12
loop_
_symmetry_equiv_pos_as_xyz
'x,y,z'
'-x,-y,-z'
'-x,y,-z'
'x,-y,z'
'x+1/2,y+1/2,z'
'-x+1/2,-y+1/2,-z'
'-x+1/2,y+1/2,-z'
'x+1/2,-y+1/2,z'
loop_
_atom_site_label
_atom_site_type_symbol
_atom_site_fract_x
_atom_site_fract_y
_atom_site_fract_z
Nd1 Nd 0.000 0.000 0.196
Sc1 Sc 0.115 0.500 0.046
C1 C 0.000 0.500 0.000
I1 I 0.000 0.500 0.500
I2 I 0.164 0.000 0.294
Cl1 Cl 0.147 0.000 0.872
```

This entry pairs a crystal structure of Nd2Sm2C2I4Cl with its computed powder X-ray diffraction pattern. Radiation: Cu Kα (λ = 1.5418 Å). Structure: DFT lattice parameters and positions (PBE).
Intensities are scaled so that the largest is 100.

Peak list (10 most intense, 2θ = 10–90°, by intensity)
two_theta	I_rel	(hkl)
30.92	100	1 1 -2
27.28	92	6 0 0
41.81	38	5 1 2
41.57	33	7 1 -2
10.71	30	0 0 1
29.60	21	3 1 1
54.12	20	6 2 0
22.90	20	1 1 0
35.76	20	2 0 3
45.80	19	0 2 0

Structure:
```
data_Nd2Sm2C2I4Cl
_chemical_formula_sum 'Nd4 Sm4 C4 I8 Cl2'
_cell_length_a 20.106
_cell_length_b 3.963
_cell_length_c 8.462
_cell_angle_alpha 90.00
_cell_angle_beta 102.62
_cell_angle_gamma 90.00
_symmetry_space_group_name_H-M 'C 1 2/m 1'
_symmetry_Int_Tables_number 12
loop_
_symmetry_equiv_pos_as_xyz
'x,y,z'
'-x,-y,-z'
'-x,y,-z'
'x,-y,z'
'x+1/2,y+1/2,z'
'-x+1/2,-y+1/2,-z'
'-x+1/2,y+1/2,-z'
'x+1/2,-y+1/2,z'
loop_
_atom_site_label
_atom_site_type_symbol
_atom_site_fract_x
_atom_site_fract_y
_atom_site_fract_z
Nd1 Nd 0.151 0.000 0.080
Sm1 Sm 0.000 0.500 0.199
C1 C 0.036 0.000 0.017
I1 I 0.160 0.500 0.368
I2 I 0.166 0.500 0.801
Cl1 Cl 0.000 0.000 0.500
```